# 1
Diffraction record for CsGaP3HO10. The powder X-ray diffraction pattern is theoretical, not measured: it uses DFT lattice parameters and positions (GGA-PBE) and Cu Kα (weighted mean of Kα1 and Kα2).
Lines closer than 0.1° are merged.

Most intense lines, 2θ from 10° to 80°, sorted by position:
| 2theta | d_spacing | I (rel.) |
| --- | --- | --- |
| 17.9 | 4.948 | 56 |
| 20.7 | 4.281 | 43 |
| 20.9 | 4.255 | 57 |
| 23.7 | 3.759 | 58 |
| 25.2 | 3.530 | 68 |
| 29.0 | 3.074 | 100 |

Structural model:
```
CsGaP3HO10
1.0
4.5840 -4.4271 0.0000
4.5840 4.4271 0.0000
-2.3452 0.0000 5.8480
Cs Ga P H O
1 1 3 1 10
Direct
0.0000 0.0000 0.0000
0.6617 0.3383 0.5000
0.1987 0.4368 0.6054
0.5632 0.8013 0.3946
0.5649 0.4350 0.0000
0.2527 0.7473 0.5000
0.1938 0.6846 0.6401
0.3126 0.4019 0.8618
0.3154 0.8062 0.3599
0.3408 0.3247 0.4504
0.5981 0.6874 0.1382
0.6057 0.2903 0.1606
0.6753 0.6592 0.5496
0.6790 0.0220 0.4643
0.7097 0.3943 0.8394
0.9780 0.3210 0.5357
```

=====

# 2
Diffraction record for CsGaP3HO10. The powder X-ray diffraction pattern is theoretical, not measured: it uses DFT lattice parameters and positions (GGA-PBE) and Cu Kα (weighted mean of Kα1 and Kα2).
Lines closer than 0.1° are merged.

Most intense lines, 2θ from 10° to 80°, sorted by position:
| 2theta | d_spacing | I (rel.) |
| --- | --- | --- |
| 15.2 | 5.829 | 73 |
| 23.3 | 3.823 | 100 |
| 24.2 | 3.670 | 50 |
| 28.5 | 3.128 | 89 |
| 33.7 | 2.663 | 49 |
| 35.5 | 2.528 | 50 |

Structural model:
```
CsGaP3HO10
1.0
8.9455 0.0000 0.0000
0.0000 5.0640 0.0000
-5.4850 0.0000 10.6574
Cs Ga P H O
2 2 6 2 20
Direct
0.0000 0.0072 0.2500
0.0000 0.9928 0.7500
0.5000 0.0000 0.0000
0.5000 0.0000 0.5000
0.2772 0.4959 0.0063
0.2772 0.5041 0.5063
0.5000 0.2369 0.2500
0.5000 0.7631 0.7500
0.7228 0.4959 0.4937
0.7228 0.5041 0.9937
0.0000 0.5000 0.0000
0.0000 0.5000 0.5000
0.0875 0.4429 0.9520
0.0875 0.5571 0.4520
0.3094 0.2118 0.4957
0.3094 0.7882 0.9957
0.3520 0.3092 0.9454
0.3520 0.6908 0.4454
0.3569 0.4315 0.1562
0.3569 0.5685 0.6562
0.4225 0.0844 0.3187
0.4225 0.9156 0.8187
0.5775 0.0844 0.1813
0.5775 0.9156 0.6813
0.6431 0.4315 0.3438
0.6431 0.5685 0.8438
0.6480 0.3092 0.5546
0.6480 0.6908 0.0546
0.6906 0.2118 0.0043
0.6906 0.7882 0.5043
0.9125 0.4429 0.5480
0.9125 0.5571 0.0480
```